Entry 1:
Structure and calculated X-ray powder pattern of Pa2As2IrN2 (a cell relaxed with PBE; Cu Ka).

Structural model:
```
data_Pa2As2IrN2
_space_group_name_H-M_alt 'P -3 m 1'
_space_group_IT_number 164
_space_group_name_Hall '-P 3 2"'
_cell_length_a 3.8265
_cell_length_b 3.8265
_cell_length_c 10.9901
_cell_angle_alpha 90.00
_cell_angle_beta 90.00
_cell_angle_gamma 120.00
loop_
_atom_site_label
_atom_site_type_symbol
_atom_site_fract_x
_atom_site_fract_y
_atom_site_fract_z
_atom_site_occupancy
Pa1 Pa 0.3333 0.6667 0.3260 1
As1 As 0.0000 0.0000 0.1009 1
Ir1 Ir 0.0000 0.0000 0.5000 1
N1 N 0.3333 0.6667 0.7047 1
```

Main lines, by angle (2θ = 10–80°):
hkl	d (Å)	2θ (°)	I/Imax
0 1 1	3.173	28.13	60
1 0 2	2.838	31.53	100
0 1 3	2.458	36.56	65
0 1 4	2.115	42.75	26
1 1 0	1.913	47.52	46
0 0 6	1.832	49.78	19
0 2 2	1.586	58.15	18
1 1 5	1.443	64.58	25

---

Entry 2:
Structure and calculated X-ray powder pattern of NaAs2Ir2 (a cell relaxed with PBE; Cu Ka).

Structural model:
```
data_NaAs2Ir2
_space_group_name_H-M_alt 'I 4/m m m'
_space_group_IT_number 139
_space_group_name_Hall '-I 4 2'
_cell_length_a 4.052
_cell_length_b 4.052
_cell_length_c 12.226
_cell_angle_alpha 90.00
_cell_angle_beta 90.00
_cell_angle_gamma 90.00
loop_
_atom_site_label
_atom_site_type_symbol
_atom_site_fract_x
_atom_site_fract_y
_atom_site_fract_z
_atom_site_occupancy
Na1 Na 0.000 0.000 0.000 1
As1 As 0.000 0.000 0.366 1
Ir1 Ir 0.000 0.500 0.250 1
```

Main lines, by angle (2θ = 10–80°):
hkl	d (Å)	2θ (°)	I/Imax
0 0 2	6.113	14.49	100
1 1 0	2.870	31.17	20
1 1 2	2.594	34.57	54
1 1 4	2.091	43.28	52
2 0 0	2.026	44.73	28
2 0 2	1.923	47.26	21
1 1 6	1.661	55.32	20
3 1 2	1.254	75.86	11

---

Entry 3:
Structure and calculated X-ray powder pattern of NaAs2IrO8 (a cell relaxed with PBE; Cu Ka).

Structural model:
```
data_NaAs2IrO8
_space_group_name_H-M_alt 'P -3 m 1'
_space_group_IT_number 164
_space_group_name_Hall '-P 3 2"'
_cell_length_a 5.4926
_cell_length_b 5.4926
_cell_length_c 6.7030
_cell_angle_alpha 90.00
_cell_angle_beta 90.00
_cell_angle_gamma 120.00
loop_
_atom_site_label
_atom_site_type_symbol
_atom_site_fract_x
_atom_site_fract_y
_atom_site_fract_z
_atom_site_occupancy
Na1 Na 0.0000 0.0000 0.0000 1
As1 As 0.3333 0.6667 0.2343 1
Ir1 Ir 0.0000 0.0000 0.5000 1
O1 O 0.1581 0.3162 0.3112 1
O2 O 0.3333 0.6667 0.9872 1
```

Main lines, by angle (2θ = 10–80°):
hkl	d (Å)	2θ (°)	I/Imax
0 0 1	6.703	13.21	21
1 0 0	4.757	18.65	25
1 0 1	3.879	22.93	100
1 1 0	2.743	32.64	85
2 0 2	1.940	46.84	23
2 1 1	1.736	52.71	20
3 0 0	1.585	58.22	26
1 1 4	1.430	65.22	12

---

Entry 4:
Structure and calculated X-ray powder pattern of NaAs2IrRh (a cell relaxed with PBE; Cu Ka).

Structural model:
```
data_NaAs2IrRh
_space_group_name_H-M_alt 'I -4 m 2'
_space_group_IT_number 119
_space_group_name_Hall 'I -4 -2'
_cell_length_a 4.039
_cell_length_b 4.039
_cell_length_c 12.127
_cell_angle_alpha 90.00
_cell_angle_beta 90.00
_cell_angle_gamma 90.00
loop_
_atom_site_label
_atom_site_type_symbol
_atom_site_fract_x
_atom_site_fract_y
_atom_site_fract_z
_atom_site_occupancy
Na1 Na 0.000 0.000 0.000 1
As1 As 0.000 0.000 0.366 1
Ir1 Ir 0.000 0.500 0.750 1
Rh1 Rh 0.000 0.500 0.250 1
```

Main lines, by angle (2θ = 10–80°):
hkl	d (Å)	2θ (°)	I/Imax
0 0 2	6.063	14.61	100
1 0 1	3.832	23.21	21
1 0 3	2.857	31.31	28
1 1 2	2.584	34.72	55
1 1 4	2.079	43.53	62
2 0 0	2.020	44.88	36
2 0 2	1.916	47.45	21
1 1 6	1.650	55.72	30